(1)
For HfPa3C4, a DFT-relaxed cell (PBE, Alexandria) gives the simulated powder diffractogram in this record (Cu Kα (weighted mean of Kα1 and Kα2)).
Peak positions follow from Bragg's law for the DFT cell and can differ from measured ones.

The 6 most intense peaks (10° ≤ 2θ ≤ 90°), low angle first:
(hkl)	2θ/deg	I_rel
1 1 2	31.00	100
0 0 4	35.85	21
2 0 0	35.99	42
2 0 4	51.71	30
1 1 6	61.43	15
3 1 2	61.62	30

abc: 4.9904 4.9904 10.0184
angles: 90.00 90.00 90.00
Space group I4/mmm (No. 139)
Inequivalent atoms, fractional coordinates:
Hf: 0.0000 0.0000 0.0000
Pa: 0.0000 0.0000 0.5000
Pa: 0.0000 0.5000 0.2500
C: 0.0000 0.0000 0.2427
C: 0.0000 0.5000 0.0000


(2)
For Dy4Ho10Sc, a DFT-relaxed cell (PBE, Alexandria) gives the simulated powder diffractogram in this record (Cu Kα (weighted mean of Kα1 and Kα2)).
Peak positions follow from Bragg's law for the DFT cell and can differ from measured ones.

The 6 most intense peaks (10° ≤ 2θ ≤ 90°), low angle first:
(hkl)	2θ/deg	I_rel
1 0 3	27.67	53
3 0 1	29.01	48
3 1 0	29.17	100
2 1 3	33.39	89
3 1 2	34.11	56
2 4 2	45.48	37

abc: 9.6811 9.6811 10.2581
angles: 90.00 90.00 90.00
Space group I4/m (No. 87)
Inequivalent atoms, fractional coordinates:
Dy: 0.0669 0.3256 0.0000
Ho: 0.0000 0.5000 0.2500
Ho: 0.1109 0.2125 0.3376
Sc: 0.0000 0.0000 0.0000


(3)
For NaSr8N4, a DFT-relaxed cell (PBE, Alexandria) gives the simulated powder diffractogram in this record (Cu Kα (weighted mean of Kα1 and Kα2)).
Peak positions follow from Bragg's law for the DFT cell and can differ from measured ones.

The 6 most intense peaks (10° ≤ 2θ ≤ 90°), low angle first:
(hkl)	2θ/deg	I_rel
3 3 0	27.14	53
2 4 0	28.63	24
3 0 1	30.07	100
1 5 0	32.75	30
4 5 1	47.95	34
1 8 1	58.47	25

abc: 13.9436 13.9436 3.8651
angles: 90.00 90.00 90.00
Space group I4/m (No. 87)
Inequivalent atoms, fractional coordinates:
Na: 0.0000 0.0000 0.0000
Sr: 0.0440 0.3363 0.0000
Sr: 0.1562 0.7978 0.5000
N: 0.1575 0.6696 0.0000


(4)
For Tb7Tl3Cd, a DFT-relaxed cell (PBE, Alexandria) gives the simulated powder diffractogram in this record (Cu Kα (weighted mean of Kα1 and Kα2)).
Peak positions follow from Bragg's law for the DFT cell and can differ from measured ones.

The 6 most intense peaks (10° ≤ 2θ ≤ 90°), low angle first:
(hkl)	2θ/deg	I_rel
2 0 -2	30.68	100
0 4 0	30.95	81
1 3 1	33.26	29
2 2 1	35.01	88
4 2 -1	35.30	86
2 4 -2	44.13	61

abc: 11.3292 11.5589 5.8289
angles: 90.00 120.31 90.00
Space group C2/m (No. 12)
Inequivalent atoms, fractional coordinates:
Tb: 0.0000 0.0000 0.0000
Tb: 0.1762 0.2755 0.6779
Tb: 0.1842 0.5000 0.1816
Tl: 0.0000 0.2685 0.0000
Tl: 0.0000 0.5000 0.5000
Cd: 0.0000 0.0000 0.5000